# 1
Diffraction record for BaAgF4. The X-ray powder pattern is simulated, not measured: it uses DFT lattice parameters and positions (GGA-PBE) and Cu Ka.

Structure:
Cell: 4.1723 4.1723 10.2160 Å, 90.00 90.00 90.00°
Fractional positions:
Ba (0.2500, 0.2500, 0.1485)
Ba (0.7500, 0.7500, 0.8515)
Ag (0.2500, 0.2500, 0.6023)
Ag (0.7500, 0.7500, 0.3977)
F (0.2500, 0.2500, 0.8206)
F (0.2500, 0.7500, 0.0000)
F (0.2500, 0.7500, 0.3705)
F (0.2500, 0.7500, 0.6295)
F (0.7500, 0.2500, 0.0000)
F (0.7500, 0.2500, 0.3705)
F (0.7500, 0.2500, 0.6295)
F (0.7500, 0.7500, 0.1794)

The 12 most intense peaks (2θ = 15–90°), in order of rising 2θ:
27.61 deg, I 100; 30.30 deg, I 34; 35.14 deg, I 16; 40.45 deg, I 17; 43.38 deg, I 31; 47.06 deg, I 17; 52.19 deg, I 34; 57.00 deg, I 13; 63.02 deg, I 9; 70.13 deg, I 7; 82.24 deg, I 7; 86.17 deg, I 8

# 2
Diffraction record for BaAg7F12. The X-ray powder pattern is simulated, not measured: it uses DFT lattice parameters and positions (GGA-PBE) and Cu Ka.

Structure:
Cell: 7.3073 7.3073 7.3073 Å, 109.47 109.47 109.47°
Fractional positions:
Ba (0.0000, 0.0000, 0.0000)
Ag (0.0000, 0.0000, 0.5000)
Ag (0.0000, 0.5000, 0.0000)
Ag (0.0000, 0.5000, 0.5000)
Ag (0.5000, 0.0000, 0.0000)
Ag (0.5000, 0.0000, 0.5000)
Ag (0.5000, 0.5000, 0.0000)
Ag (0.5000, 0.5000, 0.5000)
F (0.1194, 0.8293, 0.2901)
F (0.1707, 0.2901, 0.4608)
F (0.1707, 0.7099, 0.8806)
F (0.2901, 0.1194, 0.8293)
F (0.2901, 0.4608, 0.1707)
F (0.4608, 0.1707, 0.2901)
F (0.5392, 0.8293, 0.7099)
F (0.7099, 0.5392, 0.8293)
F (0.7099, 0.8806, 0.1707)
F (0.8293, 0.2901, 0.1194)
F (0.8293, 0.7099, 0.5392)
F (0.8806, 0.1707, 0.7099)

The 11 most intense peaks (2θ = 15–90°), in order of rising 2θ:
29.95 deg, I 100; 33.59 deg, I 2; 36.90 deg, I 1; 39.98 deg, I 2; 42.87 deg, I 26; 53.18 deg, I 49; 62.24 deg, I 14; 64.38 deg, I 1; 70.60 deg, I 17; 78.54 deg, I 4; 86.27 deg, I 22

# 3
Diffraction record for Ba2Ag2SeSF2. The X-ray powder pattern is simulated, not measured: it uses DFT lattice parameters and positions (GGA-PBE) and Cu Ka.

Structure:
Cell: 4.3159 4.3159 9.3471 Å, 90.00 90.00 90.00°
Fractional positions:
Ba (0.0000, 0.0000, 0.0000)
Ba (0.5000, 0.5000, 0.3307)
Ag (0.0000, 0.5000, 0.6755)
Ag (0.5000, 0.0000, 0.6755)
Se (0.0000, 0.0000, 0.4895)
S (0.5000, 0.5000, 0.8465)
F (0.0000, 0.5000, 0.1656)
F (0.5000, 0.0000, 0.1656)

The 12 most intense peaks (2θ = 15–90°), in order of rising 2θ:
22.69 deg, I 22; 28.14 deg, I 86; 28.65 deg, I 22; 30.82 deg, I 49; 35.12 deg, I 100; 41.86 deg, I 57; 44.07 deg, I 27; 49.10 deg, I 31; 51.21 deg, I 32; 60.69 deg, I 18; 62.40 deg, I 19; 72.09 deg, I 22

# 4
Diffraction record for Ba7Ga5AgSe15. The X-ray powder pattern is simulated, not measured: it uses DFT lattice parameters and positions (GGA-PBE) and Cu Ka.

Structure:
Cell: 10.1864 10.1864 18.9682 Å, 90.00 90.00 120.00°
Fractional positions:
Ba (0.0000, 0.0000, 0.0000)
Ba (0.0000, 0.0000, 0.5000)
Ba (0.0255, 0.6036, 0.1136)
Ba (0.0795, 0.3519, 0.3034)
Ba (0.2724, 0.9205, 0.3034)
Ba (0.3519, 0.0795, 0.8034)
Ba (0.3964, 0.4220, 0.1136)
Ba (0.4220, 0.3964, 0.6136)
Ba (0.5780, 0.9745, 0.1136)
Ba (0.6036, 0.0255, 0.6136)
Ba (0.6481, 0.7276, 0.3034)
Ba (0.7276, 0.6481, 0.8034)
Ba (0.9205, 0.2724, 0.8034)
Ba (0.9745, 0.5780, 0.6136)
Ga (0.0000, 0.0000, 0.1912)
Ga (0.0000, 0.0000, 0.6912)
Ga (0.1094, 0.6458, 0.9148)
Ga (0.3333, 0.6667, 0.7436)
Ga (0.3542, 0.4636, 0.9148)
Ga (0.4636, 0.3542, 0.4148)
Ga (0.5364, 0.8906, 0.9148)
Ga (0.6458, 0.1094, 0.4148)
Ga (0.6667, 0.3333, 0.2436)
Ga (0.8906, 0.5364, 0.4148)
Ag (0.3333, 0.6667, 0.4640)
Ag (0.6667, 0.3333, 0.9640)
Se (0.0000, 0.0000, 0.3202)
Se (0.0000, 0.0000, 0.8202)
Se (0.0202, 0.2292, 0.1387)
Se (0.1042, 0.6633, 0.7857)
Se (0.1180, 0.4283, 0.9615)
Se (0.1211, 0.7454, 0.4569)
Se (0.2089, 0.9798, 0.1387)
Se (0.2292, 0.0202, 0.6387)
Se (0.2546, 0.3756, 0.4569)
Se (0.3103, 0.8820, 0.9615)
Se (0.3333, 0.6667, 0.2124)
Se (0.3333, 0.6667, 0.6195)
Se (0.3367, 0.4409, 0.7857)
Se (0.3756, 0.2546, 0.9569)
Se (0.4283, 0.1180, 0.4615)
Se (0.4409, 0.3367, 0.2857)
Se (0.5591, 0.8958, 0.7857)
Se (0.5717, 0.6897, 0.9615)
Se (0.6244, 0.8789, 0.4569)
Se (0.6633, 0.1042, 0.2857)
Se (0.6667, 0.3333, 0.1195)
Se (0.6667, 0.3333, 0.7124)
Se (0.6897, 0.5717, 0.4615)
Se (0.7454, 0.1211, 0.9569)
Se (0.7708, 0.7911, 0.1387)
Se (0.7911, 0.7708, 0.6387)
Se (0.8789, 0.6244, 0.9569)
Se (0.8820, 0.3103, 0.4615)
Se (0.8958, 0.5591, 0.2857)
Se (0.9798, 0.2089, 0.6387)

The 12 most intense peaks (2θ = 15–90°), in order of rising 2θ:
25.67 deg, I 27; 26.74 deg, I 37; 27.15 deg, I 45; 28.23 deg, I 50; 28.37 deg, I 40; 30.03 deg, I 20; 30.34 deg, I 100; 32.84 deg, I 31; 33.36 deg, I 29; 46.99 deg, I 24; 47.20 deg, I 37; 51.28 deg, I 21

# 5
Diffraction record for BaGdAgTe2S. The X-ray powder pattern is simulated, not measured: it uses DFT lattice parameters and positions (GGA-PBE) and Cu Ka.

Structure:
Cell: 7.8246 7.8246 10.8370 Å, 90.00 90.00 147.18°
Fractional positions:
Ba (0.2278, 0.7722, 0.7500)
Ba (0.7722, 0.2278, 0.2500)
Gd (0.5000, 0.5000, 0.0000)
Gd (0.5000, 0.5000, 0.5000)
Ag (0.0219, 0.9781, 0.2500)
Ag (0.9781, 0.0219, 0.7500)
Te (0.1428, 0.8572, 0.0537)
Te (0.1428, 0.8572, 0.4463)
Te (0.8572, 0.1428, 0.5537)
Te (0.8572, 0.1428, 0.9463)
S (0.4310, 0.5690, 0.2500)
S (0.5690, 0.4310, 0.7500)

The 12 most intense peaks (2θ = 15–90°), in order of rising 2θ:
26.69 deg, I 20; 26.91 deg, I 63; 27.40 deg, I 30; 28.17 deg, I 55; 28.94 deg, I 23; 31.65 deg, I 100; 32.56 deg, I 48; 33.06 deg, I 39; 39.68 deg, I 20; 39.93 deg, I 58; 40.82 deg, I 42; 53.50 deg, I 19

# 6
Diffraction record for BaNaAgGeS4. The X-ray powder pattern is simulated, not measured: it uses DFT lattice parameters and positions (GGA-PBE) and Cu Ka.

Structure:
Cell: 7.0421 7.0421 8.0489 Å, 90.00 90.00 90.00°
Fractional positions:
Ba (0.0000, 0.0000, 0.0000)
Ba (0.5000, 0.5000, 0.5000)
Na (0.0000, 0.5000, 0.2500)
Na (0.5000, 0.0000, 0.7500)
Ag (0.0000, 0.5000, 0.7500)
Ag (0.5000, 0.0000, 0.2500)
Ge (0.0000, 0.0000, 0.5000)
Ge (0.5000, 0.5000, 0.0000)
S (0.1773, 0.8059, 0.6569)
S (0.1941, 0.1773, 0.3431)
S (0.3059, 0.3227, 0.8431)
S (0.3227, 0.6941, 0.1569)
S (0.6773, 0.3059, 0.1569)
S (0.6941, 0.6773, 0.8431)
S (0.8059, 0.8227, 0.3431)
S (0.8227, 0.1941, 0.6569)

The 12 most intense peaks (2θ = 15–90°), in order of rising 2θ:
16.73 deg, I 27; 17.81 deg, I 10; 25.29 deg, I 34; 28.52 deg, I 100; 30.48 deg, I 24; 36.07 deg, I 35; 46.61 deg, I 54; 52.37 deg, I 23; 58.63 deg, I 12; 72.34 deg, I 12; 76.88 deg, I 11; 83.59 deg, I 11

# 7
Diffraction record for BaAg2GeSeS3. The X-ray powder pattern is simulated, not measured: it uses DFT lattice parameters and positions (GGA-PBE) and Cu Ka.

Structure:
Cell: 6.4125 6.4418 6.4608 Å, 111.96 115.81 100.43°
Fractional positions:
Ba (0.0000, 0.0000, 0.0000)
Ag (0.1961, 0.6863, 0.4988)
Ag (0.8024, 0.3096, 0.4963)
Ge (0.4860, 0.4867, 0.9845)
Se (0.8482, 0.8473, 0.3771)
S (0.1424, 0.5170, 0.9835)
S (0.4665, 0.4693, 0.6215)
S (0.5270, 0.1546, 0.0049)

The 12 most intense peaks (2θ = 15–90°), in order of rising 2θ:
16.86 deg, I 24; 24.67 deg, I 41; 26.06 deg, I 34; 28.02 deg, I 47; 28.18 deg, I 100; 28.32 deg, I 46; 34.92 deg, I 20; 35.09 deg, I 18; 35.93 deg, I 42; 36.44 deg, I 47; 45.66 deg, I 22; 47.44 deg, I 25

# 8
Diffraction record for BaAg2GeTe3Se. The X-ray powder pattern is simulated, not measured: it uses DFT lattice parameters and positions (GGA-PBE) and Cu Ka.

Structure:
Cell: 6.9195 6.9215 7.0263 Å, 112.00 115.35 100.65°
Fractional positions:
Ba (0.0000, 0.0000, 0.0000)
Ag (0.1951, 0.6847, 0.5056)
Ag (0.8161, 0.3110, 0.4816)
Ge (0.5081, 0.4776, 0.9997)
Te (0.1306, 0.5133, 0.9816)
Te (0.4775, 0.4629, 0.6073)
Te (0.8641, 0.8555, 0.3918)
Se (0.5340, 0.1386, 0.0073)

The 12 most intense peaks (2θ = 15–90°), in order of rising 2θ:
25.94 deg, I 100; 26.22 deg, I 94; 27.47 deg, I 44; 27.98 deg, I 31; 32.49 deg, I 45; 32.81 deg, I 54; 33.69 deg, I 55; 42.39 deg, I 26; 43.11 deg, I 30; 43.62 deg, I 23; 47.88 deg, I 32; 52.57 deg, I 23

# 9
Diffraction record for BaSrAgGe3. The X-ray powder pattern is simulated, not measured: it uses DFT lattice parameters and positions (GGA-PBE) and Cu Ka.

Structure:
Cell: 9.0699 8.8934 6.5252 Å, 70.15 67.26 42.59°
Fractional positions:
Ba (0.2500, 0.2500, 0.2500)
Ba (0.7500, 0.7500, 0.7500)
Sr (0.2450, 0.7550, 0.2450)
Sr (0.7550, 0.2450, 0.7550)
Ag (0.3351, 0.3351, 0.6649)
Ag (0.6649, 0.6649, 0.3351)
Ge (0.1620, 0.1620, 0.8380)
Ge (0.1666, 0.6723, 0.8334)
Ge (0.3277, 0.8334, 0.6723)
Ge (0.6723, 0.1666, 0.3277)
Ge (0.8334, 0.3277, 0.1666)
Ge (0.8380, 0.8380, 0.1620)

The 12 most intense peaks (2θ = 15–90°), in order of rising 2θ:
18.55 deg, I 5; 29.80 deg, I 100; 37.61 deg, I 18; 40.60 deg, I 44; 51.17 deg, I 21; 56.54 deg, I 32; 63.12 deg, I 11; 67.24 deg, I 12; 67.35 deg, I 6; 73.92 deg, I 5; 77.80 deg, I 6; 86.04 deg, I 7

# 10
Diffraction record for Ba4InAgS6. The X-ray powder pattern is simulated, not measured: it uses DFT lattice parameters and positions (GGA-PBE) and Cu Ka.

Structure:
Cell: 8.8052 8.9898 17.9711 Å, 90.00 104.10 90.00°
Fractional positions:
Ba (0.0976, 0.2406, 0.4589)
Ba (0.0976, 0.2594, 0.9589)
Ba (0.2184, 0.0806, 0.7151)
Ba (0.2184, 0.4194, 0.2151)
Ba (0.2542, 0.5777, 0.7850)
Ba (0.2542, 0.9223, 0.2850)
Ba (0.3885, 0.7358, 0.0394)
Ba (0.3885, 0.7642, 0.5394)
Ba (0.6115, 0.2358, 0.4606)
Ba (0.6115, 0.2642, 0.9606)
Ba (0.7458, 0.0777, 0.7150)
Ba (0.7458, 0.4223, 0.2150)
Ba (0.7816, 0.5806, 0.7849)
Ba (0.7816, 0.9194, 0.2849)
Ba (0.9024, 0.7406, 0.0411)
Ba (0.9024, 0.7594, 0.5411)
In (0.4434, 0.1191, 0.1324)
In (0.4434, 0.3809, 0.6324)
In (0.5566, 0.6191, 0.3676)
In (0.5566, 0.8809, 0.8676)
Ag (0.0613, 0.6286, 0.3662)
Ag (0.0613, 0.8714, 0.8662)
Ag (0.9387, 0.1286, 0.1338)
Ag (0.9387, 0.3714, 0.6338)
S (0.0133, 0.1877, 0.2796)
S (0.0133, 0.3123, 0.7796)
S (0.0917, 0.6135, 0.9300)
S (0.0917, 0.8865, 0.4300)
S (0.1840, 0.5095, 0.5982)
S (0.1840, 0.9905, 0.0982)
S (0.3358, 0.0133, 0.9028)
S (0.3358, 0.4867, 0.4028)
S (0.4130, 0.1283, 0.5736)
S (0.4130, 0.3717, 0.0736)
S (0.4876, 0.6794, 0.2278)
S (0.4876, 0.8206, 0.7278)
S (0.5124, 0.1794, 0.2722)
S (0.5124, 0.3206, 0.7722)
S (0.5870, 0.6283, 0.9264)
S (0.5870, 0.8717, 0.4264)
S (0.6642, 0.5133, 0.5972)
S (0.6642, 0.9867, 0.0972)
S (0.8160, 0.0095, 0.9018)
S (0.8160, 0.4905, 0.4018)
S (0.9083, 0.1135, 0.5700)
S (0.9083, 0.3865, 0.0700)
S (0.9867, 0.6877, 0.2204)
S (0.9867, 0.8123, 0.7204)

The 12 most intense peaks (2θ = 15–90°), in order of rising 2θ:
22.25 deg, I 53; 22.68 deg, I 45; 25.38 deg, I 100; 27.44 deg, I 48; 28.38 deg, I 81; 28.84 deg, I 54; 30.21 deg, I 45; 30.53 deg, I 53; 31.57 deg, I 51; 34.29 deg, I 52; 36.64 deg, I 47; 41.00 deg, I 56

# 11
Diffraction record for Ba3InAg3Te6. The X-ray powder pattern is simulated, not measured: it uses DFT lattice parameters and positions (GGA-PBE) and Cu Ka.

Structure:
Cell: 14.2773 14.2773 13.5077 Å, 90.00 90.00 161.40°
Fractional positions:
Ba (0.0790, 0.9210, 0.5000)
Ba (0.1004, 0.8996, 0.1091)
Ba (0.2032, 0.7968, 0.7871)
Ba (0.7968, 0.2032, 0.2871)
Ba (0.8996, 0.1004, 0.6091)
Ba (0.9210, 0.0790, 0.0000)
In (0.4769, 0.5231, 0.3386)
In (0.5231, 0.4769, 0.8386)
Ag (0.2166, 0.7834, 0.4933)
Ag (0.2295, 0.7705, 0.0659)
Ag (0.3261, 0.6739, 0.8805)
Ag (0.6739, 0.3261, 0.3805)
Ag (0.7705, 0.2295, 0.5659)
Ag (0.7834, 0.2166, 0.9933)
Te (0.0743, 0.9257, 0.7707)
Te (0.2014, 0.7986, 0.2745)
Te (0.3202, 0.6798, 0.4858)
Te (0.3330, 0.6670, 0.0934)
Te (0.4239, 0.5761, 0.7989)
Te (0.4869, 0.5131, 0.5453)
Te (0.5131, 0.4869, 0.0453)
Te (0.5761, 0.4239, 0.2989)
Te (0.6670, 0.3330, 0.5934)
Te (0.6798, 0.3202, 0.9858)
Te (0.7986, 0.2014, 0.7745)
Te (0.9257, 0.0743, 0.2707)

The 12 most intense peaks (2θ = 15–90°), in order of rising 2θ:
25.26 deg, I 46; 26.39 deg, I 62; 27.86 deg, I 100; 28.27 deg, I 59; 29.31 deg, I 30; 29.44 deg, I 99; 34.26 deg, I 33; 34.62 deg, I 32; 38.75 deg, I 35; 39.03 deg, I 85; 39.95 deg, I 32; 40.15 deg, I 42